[1]
NaLaInSbO6: calculated X-ray powder pattern (Cu Kα X-rays), based on a crystal structure in the Materials Project, relaxed with PBE.
Neutral-atom scattering factors, no anomalous dispersion.

Most intense lines, 2θ = 5–70°, by angle:
| 2theta | d [Å] | Rel. int. | h k l |
| --- | --- | --- | --- |
| 18.82 | 4.715 | 215 | 1 1 1 |
| 21.76 | 4.084 | 117 | 2 0 0 |
| 30.97 | 2.888 | 1000 | 2 2 0 |
| 36.49 | 2.463 | 121 | 3 1 1 |
| 44.37 | 2.042 | 332 | 4 0 0 |
| 48.59 | 1.874 | 54 | 3 3 1 |
| 49.94 | 1.826 | 43 | 4 2 0 |
| 55.09 | 1.667 | 394 | 4 2 2 |
| 58.74 | 1.572 | 42 | 5 1 1 |
| 64.55 | 1.444 | 198 | 4 4 0 |

Structure:
```
data_NaLaInSbO6
_chemical_formula_sum 'Na4 La4 In4 Sb4 O24'
_symmetry_space_group_name_H-M 'F -4 3 m'
_symmetry_Int_Tables_number 216
_symmetry_space_group_name_Hall 'F -4 2 3'
_cell_length_a 8.167
_cell_length_b 8.167
_cell_length_c 8.167
_cell_angle_alpha 90.00
_cell_angle_beta 90.00
_cell_angle_gamma 90.00
loop_
_atom_site_label
_atom_site_type_symbol
_atom_site_fract_x
_atom_site_fract_y
_atom_site_fract_z
Na1 Na 0.000 0.000 0.000
La1 La 0.000 0.000 0.500
In1 In 0.250 0.250 0.250
Sb1 Sb 0.250 0.250 0.750
O1 O 0.008 0.250 0.750
```


[2]
LaInNi: calculated X-ray powder pattern (Cu Kα X-rays), based on a crystal structure in the Materials Project, relaxed with PBE.
Neutral-atom scattering factors, no anomalous dispersion.

Most intense lines, 2θ = 5–70°, by angle:
| 2theta | d [Å] | Rel. int. | h k l |
| --- | --- | --- | --- |
| 32.25 | 2.776 | 1000 | 1 1 1 |
| 35.06 | 2.560 | 839 | 2 0 1 |
| 35.92 | 2.500 | 634 | 2 1 0 |
| 40.93 | 2.205 | 194 | 3 0 0 |
| 42.51 | 2.126 | 171 | 2 1 1 |
| 44.85 | 2.021 | 240 | 0 0 2 |
| 54.96 | 1.671 | 247 | 3 1 1 |
| 58.75 | 1.572 | 296 | 2 1 2 |
| 65.72 | 1.421 | 249 | 3 2 1 |
| 69.13 | 1.359 | 161 | 3 1 2 |

Structure:
```
data_LaInNi
_chemical_formula_sum 'La3 In3 Ni3'
_symmetry_space_group_name_H-M 'P -6 2 m'
_symmetry_Int_Tables_number 189
_symmetry_space_group_name_Hall 'P -6 -2'
_cell_length_a 7.6389
_cell_length_b 7.6389
_cell_length_c 4.0414
_cell_angle_alpha 90.00
_cell_angle_beta 90.00
_cell_angle_gamma 120.00
loop_
_atom_site_label
_atom_site_type_symbol
_atom_site_fract_x
_atom_site_fract_y
_atom_site_fract_z
La1 La 0.0000 0.4145 0.0000
In1 In 0.0000 0.7560 0.5000
Ni1 Ni 0.0000 0.0000 0.0000
Ni2 Ni 0.3333 0.6667 0.5000
```


[3]
LaInNi2: calculated X-ray powder pattern (Cu Kα X-rays), based on a crystal structure in the Materials Project, relaxed with PBE.
Neutral-atom scattering factors, no anomalous dispersion.

Most intense lines, 2θ = 5–70°, by angle:
| 2theta | d [Å] | Rel. int. | h k l |
| --- | --- | --- | --- |
| 30.16 | 2.963 | 1000 | 1 1 1 |
| 33.07 | 2.709 | 193 | 0 1 2 |
| 34.02 | 2.635 | 316 | 2 0 0 |
| 37.33 | 2.409 | 657 | 1 1 2 |
| 37.65 | 2.389 | 158 | 0 0 3 |
| 41.50 | 2.176 | 227 | 1 0 3 |
| 42.59 | 2.123 | 547 | 2 0 2 |
| 43.76 | 2.069 | 470 | 0 2 0 |
| 47.20 | 1.926 | 213 | 1 1 3 |
| 62.71 | 1.482 | 182 | 2 2 2 |

Structure:
```
data_LaInNi2
_chemical_formula_sum 'La2 In2 Ni4'
_symmetry_space_group_name_H-M 'P m m a'
_symmetry_Int_Tables_number 51
_cell_length_a 5.271
_cell_length_b 4.137
_cell_length_c 7.167
_cell_angle_alpha 90.00
_cell_angle_beta 90.00
_cell_angle_gamma 90.00
loop_
_symmetry_equiv_pos_as_xyz
'x,y,z'
'-x,-y,-z'
'-x+1/2,-y,z'
'x+1/2,y,-z'
'x+1/2,-y,-z'
'-x+1/2,y,z'
'-x,y,-z'
'x,-y,z'
loop_
_atom_site_label
_atom_site_type_symbol
_atom_site_fract_x
_atom_site_fract_y
_atom_site_fract_z
La1 La 0.250 0.000 0.228
In1 In 0.250 0.500 0.841
Ni1 Ni 0.000 0.500 0.500
Ni2 Ni 0.250 0.000 0.608
```


[4]
LaIn6Ni3: calculated X-ray powder pattern (Cu Kα X-rays), based on a crystal structure in the Materials Project, relaxed with PBE.
Neutral-atom scattering factors, no anomalous dispersion.

Most intense lines, 2θ = 5–70°, by angle:
| 2theta | d [Å] | Rel. int. | h k l |
| --- | --- | --- | --- |
| 31.82 | 2.812 | 1000 | 1 2 1 |
| 32.41 | 2.762 | 706 | 0 2 3 |
| 36.25 | 2.478 | 586 | 1 0 4 |
| 38.19 | 2.357 | 271 | 0 2 4 |
| 39.44 | 2.285 | 153 | 0 1 5 |
| 40.80 | 2.212 | 574 | 2 0 0 |
| 41.57 | 2.172 | 473 | 1 3 1 |
| 42.05 | 2.149 | 133 | 0 3 3 |
| 57.11 | 1.613 | 158 | 2 2 4 |
| 62.75 | 1.481 | 216 | 1 3 6 |

Structure:
```
data_LaIn6Ni3
_chemical_formula_sum 'La2 In12 Ni6'
_symmetry_space_group_name_H-M 'P m m n'
_symmetry_Int_Tables_number 59
_cell_length_a 4.423
_cell_length_b 7.650
_cell_length_c 11.969
_cell_angle_alpha 90.00
_cell_angle_beta 90.00
_cell_angle_gamma 90.00
loop_
_symmetry_equiv_pos_as_xyz
'x,y,z'
'-x,-y,-z'
'-x+1/2,-y+1/2,z'
'x+1/2,y+1/2,-z'
'x+1/2,-y,-z'
'-x+1/2,y,z'
'-x,y+1/2,-z'
'x,-y+1/2,z'
loop_
_atom_site_label
_atom_site_type_symbol
_atom_site_fract_x
_atom_site_fract_y
_atom_site_fract_z
La1 La 0.250 0.250 0.177
In1 In 0.250 0.052 0.916
In2 In 0.250 0.250 0.488
In3 In 0.250 0.543 0.662
In4 In 0.250 0.750 0.248
Ni1 Ni 0.250 0.578 0.436
Ni2 Ni 0.250 0.750 0.033
```


[5]
La2InNi2: calculated X-ray powder pattern (Cu Kα X-rays), based on a crystal structure in the Materials Project, relaxed with PBE.
Neutral-atom scattering factors, no anomalous dispersion.

Most intense lines, 2θ = 5–70°, by angle:
| 2theta | d [Å] | Rel. int. | h k l |
| --- | --- | --- | --- |
| 25.86 | 3.445 | 153 | 2 1 0 |
| 32.89 | 2.723 | 159 | 2 2 0 |
| 33.12 | 2.705 | 562 | 2 0 1 |
| 35.16 | 2.552 | 1000 | 2 1 1 |
| 36.90 | 2.436 | 484 | 3 1 0 |
| 47.87 | 1.900 | 168 | 0 0 2 |
| 54.75 | 1.677 | 166 | 4 1 1 |
| 56.14 | 1.638 | 168 | 3 3 1 |
| 61.94 | 1.498 | 205 | 3 1 2 |
| 66.62 | 1.404 | 136 | 5 1 1 |

Structure:
```
data_La2InNi2
_chemical_formula_sum 'La4 In2 Ni4'
_symmetry_space_group_name_H-M 'P 4/m b m'
_symmetry_Int_Tables_number 127
_symmetry_space_group_name_Hall '-P 4 2ab'
_cell_length_a 7.703
_cell_length_b 7.703
_cell_length_c 3.800
_cell_angle_alpha 90.00
_cell_angle_beta 90.00
_cell_angle_gamma 90.00
loop_
_atom_site_label
_atom_site_type_symbol
_atom_site_fract_x
_atom_site_fract_y
_atom_site_fract_z
La1 La 0.174 0.326 0.000
In1 In 0.000 0.000 0.500
Ni1 Ni 0.121 0.621 0.500
```


[6]
LaIn6Ni7: calculated X-ray powder pattern (Cu Kα X-rays), based on a crystal structure in the Materials Project, relaxed with PBE.
Neutral-atom scattering factors, no anomalous dispersion.

Most intense lines, 2θ = 5–70°, by angle:
| 2theta | d [Å] | Rel. int. | h k l |
| --- | --- | --- | --- |
| 30.64 | 2.918 | 471 | 1 3 0 |
| 31.98 | 2.799 | 499 | 1 1 4 |
| 32.52 | 2.754 | 440 | 2 2 2 |
| 34.31 | 2.613 | 646 | 0 2 4 |
| 37.56 | 2.395 | 955 | 3 1 2 |
| 40.67 | 2.219 | 758 | 1 4 1 |
| 42.41 | 2.131 | 1000 | 2 3 3 |
| 43.13 | 2.097 | 339 | 0 0 6 |
| 44.37 | 2.042 | 371 | 3 3 0 |
| 46.54 | 1.951 | 347 | 4 1 1 |

Structure:
```
data_LaIn6Ni7
_chemical_formula_sum 'La4 In24 Ni28'
_symmetry_space_group_name_H-M 'I b a m'
_symmetry_Int_Tables_number 72
_symmetry_space_group_name_Hall '-I 2 2c'
_cell_length_a 8.082
_cell_length_b 9.388
_cell_length_c 12.585
_cell_angle_alpha 90.00
_cell_angle_beta 90.00
_cell_angle_gamma 90.00
loop_
_atom_site_label
_atom_site_type_symbol
_atom_site_fract_x
_atom_site_fract_y
_atom_site_fract_z
La1 La 0.000 0.000 0.250
In1 In 0.173 0.307 0.139
In2 In 0.176 0.044 0.000
Ni1 Ni 0.000 0.500 0.000
Ni2 Ni 0.075 0.239 0.500
Ni3 Ni 0.126 0.412 0.328
```


[7]
La2InNi2: calculated X-ray powder pattern (Cu Kα X-rays), based on a crystal structure in the Materials Project, relaxed with PBE.
Neutral-atom scattering factors, no anomalous dispersion.

Most intense lines, 2θ = 5–70°, by angle:
| 2theta | d [Å] | Rel. int. | h k l |
| --- | --- | --- | --- |
| 31.21 | 2.866 | 311 | 1 3 1 |
| 32.72 | 2.737 | 1000 | 0 4 1 |
| 33.55 | 2.671 | 733 | 2 1 1 |
| 34.80 | 2.578 | 852 | 1 4 1 |
| 35.04 | 2.561 | 604 | 2 2 1 |
| 37.09 | 2.424 | 723 | 3 2 0 |
| 42.19 | 2.142 | 265 | 1 7 0 |
| 47.34 | 1.920 | 391 | 0 0 2 |
| 55.85 | 1.646 | 388 | 3 6 1 |
| 61.62 | 1.505 | 314 | 3 2 2 |

Structure:
```
data_La2InNi2
_chemical_formula_sum 'La8 In4 Ni8'
_symmetry_space_group_name_H-M 'P b a m'
_symmetry_Int_Tables_number 55
_cell_length_a 7.656
_cell_length_b 15.616
_cell_length_c 3.840
_cell_angle_alpha 90.00
_cell_angle_beta 90.00
_cell_angle_gamma 90.00
loop_
_symmetry_equiv_pos_as_xyz
'x,y,z'
'-x,-y,-z'
'-x,-y,z'
'x,y,-z'
'x+1/2,-y+1/2,-z'
'-x+1/2,y+1/2,z'
'-x+1/2,y+1/2,-z'
'x+1/2,-y+1/2,z'
loop_
_atom_site_label
_atom_site_type_symbol
_atom_site_fract_x
_atom_site_fract_y
_atom_site_fract_z
La1 La 0.106 0.216 0.000
La2 La 0.247 0.964 0.000
In1 In 0.077 0.629 0.500
Ni1 Ni 0.056 0.074 0.500
Ni2 Ni 0.193 0.818 0.500
```


[8]
LaIn2Ni3: calculated X-ray powder pattern (Cu Kα X-rays), based on a crystal structure in the Materials Project, relaxed with PBE.
Neutral-atom scattering factors, no anomalous dispersion.

Most intense lines, 2θ = 5–70°, by angle:
| 2theta | d [Å] | Rel. int. | h k l |
| --- | --- | --- | --- |
| 30.13 | 2.966 | 1000 | 1 4 0 |
| 33.10 | 2.707 | 350 | 0 3 3 |
| 35.83 | 2.507 | 574 | 1 5 1 |
| 38.40 | 2.344 | 646 | 0 6 2 |
| 39.22 | 2.297 | 877 | 1 6 0 |
| 41.58 | 2.172 | 588 | 2 0 0 |
| 43.89 | 2.063 | 650 | 1 0 4 |
| 44.64 | 2.030 | 176 | 0 4 4 |
| 57.88 | 1.593 | 377 | 2 6 2 |
| 64.39 | 1.447 | 203 | 1 10 2 |

Structure:
```
data_LaIn2Ni3
_chemical_formula_sum 'La6 In12 Ni18'
_symmetry_space_group_name_H-M 'A m m 2'
_symmetry_Int_Tables_number 38
_cell_length_a 4.344
_cell_length_b 16.230
_cell_length_c 9.382
_cell_angle_alpha 90.00
_cell_angle_beta 90.00
_cell_angle_gamma 90.00
loop_
_symmetry_equiv_pos_as_xyz
'x,y,z'
'-x,-y,z'
'-x,y,z'
'x,-y,z'
'x,y+1/2,z+1/2'
'-x,-y+1/2,z+1/2'
'-x,y+1/2,z+1/2'
'x,-y+1/2,z+1/2'
loop_
_atom_site_label
_atom_site_type_symbol
_atom_site_fract_x
_atom_site_fract_y
_atom_site_fract_z
La1 La 0.000 0.000 0.000
La2 La 0.500 0.167 0.500
In1 In 0.000 0.000 0.505
In2 In 0.000 0.247 0.247
In3 In 0.500 0.000 0.276
In4 In 0.500 0.138 0.861
Ni1 Ni 0.000 0.087 0.731
Ni2 Ni 0.000 0.091 0.264
Ni3 Ni 0.000 0.178 0.004
Ni4 Ni 0.500 0.000 0.705
Ni5 Ni 0.500 0.147 0.147
```


[9]
La2InNi2: calculated X-ray powder pattern (Cu Kα X-rays), based on a crystal structure in the Materials Project, relaxed with PBE.
Neutral-atom scattering factors, no anomalous dispersion.

Most intense lines, 2θ = 5–70°, by angle:
| 2theta | d [Å] | Rel. int. | h k l |
| --- | --- | --- | --- |
| 28.54 | 3.127 | 236 | 1 1 1 |
| 32.77 | 2.733 | 773 | 0 2 1 |
| 32.88 | 2.724 | 295 | 2 2 0 |
| 33.28 | 2.692 | 397 | 2 0 1 |
| 34.89 | 2.571 | 960 | 1 2 1 |
| 35.26 | 2.545 | 1000 | 2 1 1 |
| 36.43 | 2.467 | 423 | 1 3 0 |
| 37.36 | 2.407 | 528 | 3 1 0 |
| 47.62 | 1.910 | 341 | 0 0 2 |
| 56.08 | 1.640 | 359 | 3 3 1 |

Structure:
```
data_La2InNi2
_chemical_formula_sum 'La4 In2 Ni4'
_symmetry_space_group_name_H-M 'P b a m'
_symmetry_Int_Tables_number 55
_cell_length_a 7.590
_cell_length_b 7.824
_cell_length_c 3.819
_cell_angle_alpha 90.00
_cell_angle_beta 90.00
_cell_angle_gamma 90.00
loop_
_symmetry_equiv_pos_as_xyz
'x,y,z'
'-x,-y,-z'
'-x,-y,z'
'x,y,-z'
'x+1/2,-y+1/2,-z'
'-x+1/2,y+1/2,z'
'-x+1/2,y+1/2,-z'
'x+1/2,-y+1/2,z'
loop_
_atom_site_label
_atom_site_type_symbol
_atom_site_fract_x
_atom_site_fract_y
_atom_site_fract_z
La1 La 0.169 0.180 0.000
In1 In 0.000 0.500 0.500
Ni1 Ni 0.138 0.896 0.500
```


[10]
La3InNiS7: calculated X-ray powder pattern (Cu Kα X-rays), based on a crystal structure in the Materials Project, relaxed with PBE.
Neutral-atom scattering factors, no anomalous dispersion.

Most intense lines, 2θ = 5–70°, by angle:
| 2theta | d [Å] | Rel. int. | h k l |
| --- | --- | --- | --- |
| 22.42 | 3.965 | 144 | 1 1 1 |
| 24.62 | 3.616 | 1000 | 2 0 1 |
| 33.64 | 2.664 | 209 | 3 0 1 |
| 34.91 | 2.570 | 350 | 2 0 2 |
| 35.29 | 2.544 | 396 | 2 2 0 |
| 39.27 | 2.294 | 147 | 2 1 2 |
| 39.53 | 2.280 | 171 | 1 3 1 |
| 43.50 | 2.080 | 150 | 4 0 1 |
| 47.24 | 1.924 | 146 | 1 4 0 |
| 47.80 | 1.903 | 204 | 2 0 3 |

Structure:
```
data_La3InNiS7
_chemical_formula_sum 'La6 In2 Ni2 S14'
_symmetry_space_group_name_H-M 'P 63'
_symmetry_Int_Tables_number 173
_cell_length_a 10.1743
_cell_length_b 10.1743
_cell_length_c 6.3298
_cell_angle_alpha 90.00
_cell_angle_beta 90.00
_cell_angle_gamma 120.00
loop_
_symmetry_equiv_pos_as_xyz
'x,y,z'
'x-y,x,z+1/2'
'-y,x-y,z'
'-x,-y,z+1/2'
'-x+y,-x,z'
'y,-x+y,z+1/2'
loop_
_atom_site_label
_atom_site_type_symbol
_atom_site_fract_x
_atom_site_fract_y
_atom_site_fract_z
La1 La 0.1470 0.7761 0.0000
In1 In 0.3333 0.6667 0.5716
Ni1 Ni 0.0000 0.0000 0.1879
S1 S 0.0812 0.5113 0.7395
S2 S 0.0885 0.8713 0.4206
S3 S 0.3333 0.6667 0.1885
```